No. 1
Diffraction record for SrThZnN3. The powder diffraction line list is computed, not measured: it uses a structure optimized by DFT (GGA-PBE) and Cu Kα (λ = 1.5418 Å).
No peak broadening, texture or thermal motion is included.

Top 6 peaks for 2θ = 15–90°, in order of falling intensity:
2θ/deg	d/Å	I_rel
15.45	5.734	100.0
34.35	2.611	88.7
27.14	3.286	59.6
35.29	2.543	50.0
34.03	2.634	47.7
31.19	2.867	41.4

Cell and atoms:
a = 7.555 Å, b = 3.642 Å, c = 7.697 Å
α = 90.00°, β = 97.54°, γ = 90.00°
Atoms (fractional coordinates):
1 Sr 0.161 0.250 0.193
2 Sr 0.839 0.750 0.807
3 Th 0.359 0.750 0.824
4 Th 0.641 0.250 0.176
5 Zn 0.095 0.250 0.595
6 Zn 0.905 0.750 0.405
7 N 0.146 0.250 0.857
8 N 0.175 0.750 0.509
9 N 0.426 0.750 0.136
10 N 0.574 0.250 0.864
11 N 0.825 0.250 0.491
12 N 0.854 0.750 0.143



No. 2
Diffraction record for BeIn2. The powder diffraction line list is computed, not measured: it uses a structure optimized by DFT (GGA-PBE) and Cu Kα (λ = 1.5418 Å).
No peak broadening, texture or thermal motion is included.

Top 6 peaks for 2θ = 15–90°, in order of falling intensity:
2θ/deg	d/Å	I_rel
34.17	2.624	100.0
35.15	2.553	19.0
58.50	1.578	16.6
62.44	1.487	16.6
26.05	3.420	15.7
41.76	2.163	14.7

Cell and atoms:
a = 5.469 Å, b = 5.469 Å, c = 5.469 Å
α = 102.59°, β = 102.59°, γ = 124.35°
Atoms (fractional coordinates):
1 Be 0.250 0.250 0.000
2 Be 0.750 0.750 0.000
3 In 0.162 0.662 0.825
4 In 0.338 0.162 0.500
5 In 0.662 0.838 0.500
6 In 0.838 0.338 0.175



No. 3
Diffraction record for K5Rb2Au4. The powder diffraction line list is computed, not measured: it uses a structure optimized by DFT (GGA-PBE) and Cu Kα (λ = 1.5418 Å).
No peak broadening, texture or thermal motion is included.

Top 6 peaks for 2θ = 15–90°, in order of falling intensity:
2θ/deg	d/Å	I_rel
18.84	4.711	100.0
27.94	3.193	63.6
32.40	2.763	47.3
28.33	3.150	39.6
30.19	2.961	37.9
38.23	2.354	33.6

Cell and atoms:
a = 12.657 Å, b = 12.657 Å, c = 8.838 Å
α = 94.55°, β = 94.55°, γ = 21.86°
Atoms (fractional coordinates):
1 K 0.000 0.000 0.000
2 K 0.283 0.283 0.716
3 K 0.364 0.364 0.146
4 K 0.636 0.636 0.854
5 K 0.717 0.717 0.284
6 Rb 0.081 0.081 0.457
7 Rb 0.919 0.919 0.543
8 Au 0.415 0.415 0.820
9 Au 0.485 0.485 0.328
10 Au 0.515 0.515 0.672
11 Au 0.585 0.585 0.180